The following is a simulated powder XRD pattern of LaCeEuMg. It was derived from a PBE-relaxed structure, using a wavelength of 1.5418 Å.
Neutral-atom scattering factors, no anomalous dispersion.

Crystal structure
```
data_LaCeEuMg
_symmetry_space_group_name_H-M 'F -4 3 m'
_symmetry_Int_Tables_number 216
_symmetry_space_group_name_Hall 'F -4 2 3'
_cell_length_a 8.0667
_cell_length_b 8.0667
_cell_length_c 8.0667
_cell_angle_alpha 90.00
_cell_angle_beta 90.00
_cell_angle_gamma 90.00
loop_
_atom_site_label
_atom_site_fract_x
_atom_site_fract_y
_atom_site_fract_z
La1 0.0000 0.0000 0.0000
Ce1 0.2500 0.2500 0.7500
Eu1 0.0000 0.0000 0.5000
Mg1 0.2500 0.2500 0.2500
```

Top 12 peaks for 10° ≤ 2θ ≤ 80°, by angle:
Position (°2θ)  I (rel.)  h k l
19.06  14  1 1 1
22.04  9  2 0 0
31.36  100  2 2 0
36.96  8  3 1 1
38.67  3  2 2 2
44.95  18  4 0 0
49.24  4  3 3 1
50.60  4  4 2 0
55.83  39  4 2 2
59.55  3  5 1 1
65.45  12  4 4 0
74.37  16  6 2 0

The following is a simulated powder XRD pattern of CeEuP. It was derived from a PBE-relaxed structure, using a wavelength of 1.5418 Å.
Neutral-atom scattering factors, no anomalous dispersion.

Crystal structure
```
data_CeEuP
_symmetry_space_group_name_H-M 'P 3 m 1'
_symmetry_Int_Tables_number 156
_symmetry_space_group_name_Hall 'P 3 -2"'
_cell_length_a 4.1029
_cell_length_b 4.1029
_cell_length_c 6.4988
_cell_angle_alpha 90.00
_cell_angle_beta 90.00
_cell_angle_gamma 120.00
loop_
_atom_site_label
_atom_site_fract_x
_atom_site_fract_y
_atom_site_fract_z
Ce1 0.0000 0.0000 0.0000
Eu1 0.6667 0.3333 0.5039
P1 0.3333 0.6667 0.2362
```

Top 12 peaks for 10° ≤ 2θ ≤ 80°, by angle:
Position (°2θ)  I (rel.)  h k l
25.06  14  1 0 0
27.45  19  0 0 2
28.63  100  0 1 1
37.51  23  1 0 2
44.15  24  1 1 0
49.26  22  1 0 3
52.77  19  1 1 2
53.47  17  2 0 1
59.28  6  0 2 2
68.28  8  0 2 3
71.77  14  1 2 1
74.50  10  1 1 4

The following is a simulated powder XRD pattern of CeEuSiPd. It was derived from a PBE-relaxed structure, using a wavelength of 1.5418 Å.
Neutral-atom scattering factors, no anomalous dispersion.

Crystal structure
```
data_CeEuSiPd
_symmetry_space_group_name_H-M 'F -4 3 m'
_symmetry_Int_Tables_number 216
_symmetry_space_group_name_Hall 'F -4 2 3'
_cell_length_a 7.2265
_cell_length_b 7.2265
_cell_length_c 7.2265
_cell_angle_alpha 90.00
_cell_angle_beta 90.00
_cell_angle_gamma 90.00
loop_
_atom_site_label
_atom_site_fract_x
_atom_site_fract_y
_atom_site_fract_z
Ce1 0.0000 0.0000 0.0000
Eu1 0.0000 0.0000 0.5000
Si1 0.2500 0.2500 0.2500
Pd1 0.2500 0.2500 0.7500
```

Top 12 peaks for 10° ≤ 2θ ≤ 80°, by angle:
Position (°2θ)  I (rel.)  h k l
21.30  8  1 1 1
24.64  16  2 0 0
35.12  100  2 2 0
41.44  5  3 1 1
43.38  5  2 2 2
50.52  18  4 0 0
55.42  2  3 3 1
56.99  7  4 2 0
63.02  36  4 2 2
67.33  1  5 1 1
74.24  11  4 4 0
79.59  3  6 0 0

The following is a simulated powder XRD pattern of CeF5. It was derived from a PBE-relaxed structure, using a wavelength of 1.5418 Å.
Neutral-atom scattering factors, no anomalous dispersion.

Crystal structure
```
data_CeF5
_symmetry_space_group_name_H-M 'C 1 m 1'
_symmetry_Int_Tables_number 8
_symmetry_space_group_name_Hall 'C -2y'
_cell_length_a 10.1615
_cell_length_b 3.5562
_cell_length_c 5.6201
_cell_angle_alpha 90.00
_cell_angle_beta 123.50
_cell_angle_gamma 90.00
loop_
_atom_site_label
_atom_site_fract_x
_atom_site_fract_y
_atom_site_fract_z
Ce1 0.0000 0.0000 0.0000
F1 0.1038 0.0000 0.4883
F2 0.1746 0.5000 0.1737
F3 0.2308 0.5000 0.7123
F4 0.4024 0.0000 0.1152
F5 0.4337 0.0000 0.6915
```

Top 12 peaks for 10° ≤ 2θ ≤ 80°, by angle:
Position (°2θ)  I (rel.)  h k l
18.95  100  2 0 -1
20.97  36  2 0 0
27.20  25  1 1 0
29.73  24  1 1 -1
31.85  15  2 0 -2
35.58  18  4 0 -1
36.67  32  3 1 -1
40.80  22  3 1 0
42.36  37  1 1 -2
52.66  18  1 1 2
52.88  20  5 1 -1
55.26  11  2 2 -1

The following is a simulated powder XRD pattern of Ce3F8. It was derived from a PBE-relaxed structure, using a wavelength of 1.5418 Å.
Neutral-atom scattering factors, no anomalous dispersion.

Crystal structure
```
data_Ce3F8
_symmetry_space_group_name_H-M 'P m -3 m'
_symmetry_Int_Tables_number 221
_symmetry_space_group_name_Hall '-P 4 2 3'
_cell_length_a 5.8001
_cell_length_b 5.8001
_cell_length_c 5.8001
_cell_angle_alpha 90.00
_cell_angle_beta 90.00
_cell_angle_gamma 90.00
loop_
_atom_site_label
_atom_site_fract_x
_atom_site_fract_y
_atom_site_fract_z
Ce1 0.0000 0.0000 0.5000
F1 0.2372 0.2372 0.2372
```

Top 12 peaks for 10° ≤ 2θ ≤ 80°, by angle:
Position (°2θ)  I (rel.)  h k l
15.28  38  1 0 0
21.67  27  1 1 0
26.62  100  1 1 1
30.83  19  2 0 0
34.58  14  2 1 0
38.00  13  2 1 1
44.17  69  2 2 0
47.00  9  2 2 1
52.31  46  3 1 1
64.24  10  4 0 0
70.81  19  3 3 1
72.94  9  4 2 0

The following is a simulated powder XRD pattern of CeGaF4. It was derived from a PBE-relaxed structure, using a wavelength of 1.5418 Å.
Neutral-atom scattering factors, no anomalous dispersion.

Crystal structure
```
data_CeGaF4
_symmetry_space_group_name_H-M 'I -4'
_symmetry_Int_Tables_number 82
_symmetry_space_group_name_Hall 'I -4'
_cell_length_a 6.4843
_cell_length_b 6.4843
_cell_length_c 5.2554
_cell_angle_alpha 90.00
_cell_angle_beta 90.00
_cell_angle_gamma 90.00
loop_
_atom_site_label
_atom_site_fract_x
_atom_site_fract_y
_atom_site_fract_z
Ce1 0.0000 0.0000 0.0000
Ga1 0.0000 0.5000 0.2500
F1 0.1853 0.2041 0.7454
```

Top 12 peaks for 10° ≤ 2θ ≤ 80°, by angle:
Position (°2θ)  I (rel.)  h k l
19.36  16  1 1 0
21.77  100  1 0 1
27.51  26  2 0 0
35.35  68  1 2 1
39.30  30  2 2 0
39.53  37  1 1 2
45.37  16  3 0 1
53.88  17  2 3 1
56.96  32  3 1 2
61.55  13  4 1 1
61.88  12  1 2 3
75.51  10  3 4 1

The following is a simulated powder XRD pattern of K2CeGaF8. It was derived from a PBE-relaxed structure, using a wavelength of 1.5418 Å.
Neutral-atom scattering factors, no anomalous dispersion.

Crystal structure
```
data_K2CeGaF8
_symmetry_space_group_name_H-M 'P 1 2/m 1'
_symmetry_Int_Tables_number 10
_symmetry_space_group_name_Hall '-P 2y'
_cell_length_a 4.7174
_cell_length_b 7.1780
_cell_length_c 6.0531
_cell_angle_alpha 90.00
_cell_angle_beta 94.00
_cell_angle_gamma 90.00
loop_
_atom_site_label
_atom_site_fract_x
_atom_site_fract_y
_atom_site_fract_z
K1 0.0000 0.2278 0.0000
Ce1 0.5000 0.5000 0.5000
Ga1 0.5000 0.0000 0.5000
F1 0.1036 0.5000 0.2714
F2 0.1732 0.0000 0.3170
F3 0.3803 0.2165 0.6867
```

Top 12 peaks for 10° ≤ 2θ ≤ 80°, by angle:
Position (°2θ)  I (rel.)  h k l
14.67  97  0 0 1
18.86  30  1 0 0
23.14  100  1 0 -1
24.79  94  1 0 1
28.94  94  0 2 1
31.35  32  1 2 0
34.17  37  1 2 -1
38.25  22  2 0 0
42.67  73  1 2 -2
44.60  33  1 2 2
47.77  22  2 2 -1
50.86  35  0 4 0

The following is a simulated powder XRD pattern of CeGeF6. It was derived from a PBE-relaxed structure, using a wavelength of 1.5418 Å.
Neutral-atom scattering factors, no anomalous dispersion.

Crystal structure
```
data_CeGeF6
_symmetry_space_group_name_H-M 'P 1'
_symmetry_Int_Tables_number 1
_symmetry_space_group_name_Hall 'P 1'
_cell_length_a 4.5468
_cell_length_b 4.5539
_cell_length_c 6.1444
_cell_angle_alpha 93.47
_cell_angle_beta 93.83
_cell_angle_gamma 111.57
loop_
_atom_site_label
_atom_site_fract_x
_atom_site_fract_y
_atom_site_fract_z
Ce1 0.0000 0.0000 0.0000
Ge1 0.3884 0.6057 0.4993
F1 0.0260 0.5092 0.0878
F2 0.1360 0.2557 0.7079
F3 0.3707 0.2386 0.3109
F4 0.4898 0.9806 0.9124
F5 0.7425 0.8552 0.2887
F6 0.7556 0.6287 0.6930
```

Top 12 peaks for 10° ≤ 2θ ≤ 80°, by angle:
Position (°2θ)  I (rel.)  h k l
14.51  23  0 0 1
21.09  29  1 0 0
23.65  48  1 -1 0
24.52  100  1 0 -1
26.81  84  0 1 1
29.26  22  0 0 2
40.08  22  2 -1 0
43.67  27  1 1 -2
47.78  22  0 1 -3
49.16  16  1 1 2
50.26  20  0 2 -2
50.88  15  2 -2 1